Record 1
Structure and calculated X-ray diffraction stick pattern of DyGa3Ir (a crystal structure in Alexandria, relaxed with PBE; Cu Kα (weighted mean of Kα1 and Kα2)).
Intensities are scaled so that the largest is 1000.

Most intense lines, 2θ from 10° to 90°, in order of rising 2θ:
2θ 19.74, rel. 191
2θ 29.42, rel. 1000
2θ 39.31, rel. 489
2θ 40.09, rel. 216
2θ 41.10, rel. 702
2θ 44.74, rel. 253
2θ 61.05, rel. 268
2θ 65.26, rel. 188

Atomic structure:
```
data_DyGa3Ir
_symmetry_space_group_name_H-M 'P 1'
_symmetry_Int_Tables_number 1
_cell_length_a 4.0515
_cell_length_b 5.2276
_cell_length_c 5.2276
_cell_angle_alpha 61.26
_cell_angle_beta 90.00
_cell_angle_gamma 90.00
loop_
_symmetry_equiv_pos_as_xyz
'x,y,z'
loop_
_atom_site_label
_atom_site_type_symbol
_atom_site_fract_x
_atom_site_fract_y
_atom_site_fract_z
_atom_site_occupancy
Dy1 Dy 0.0000 0.0000 0.0000 1
Ga1 Ga 0.0000 0.3341 0.3341 1
Ga2 Ga 0.5000 0.4986 0.9754 1
Ga3 Ga 0.5000 0.9754 0.4986 1
Ir1 Ir 0.5000 0.4972 0.4972 1
```

Record 2
Structure and calculated X-ray diffraction stick pattern of PuPb3O8 (a crystal structure in Alexandria, relaxed with PBE; Cu Kα (weighted mean of Kα1 and Kα2)).
Intensities are scaled so that the largest is 1000.

Most intense lines, 2θ from 10° to 90°, in order of rising 2θ:
2θ 28.48, rel. 1000
2θ 33.00, rel. 364
2θ 47.37, rel. 500
2θ 56.20, rel. 470
2θ 58.94, rel. 105
2θ 76.50, rel. 196
2θ 78.86, rel. 146
2θ 88.18, rel. 173

Atomic structure:
```
data_PuPb3O8
_symmetry_space_group_name_H-M 'P 1'
_symmetry_Int_Tables_number 1
_cell_length_a 5.4281
_cell_length_b 5.4281
_cell_length_c 5.4281
_cell_angle_alpha 90.00
_cell_angle_beta 90.00
_cell_angle_gamma 90.00
loop_
_symmetry_equiv_pos_as_xyz
'x,y,z'
loop_
_atom_site_label
_atom_site_type_symbol
_atom_site_fract_x
_atom_site_fract_y
_atom_site_fract_z
_atom_site_occupancy
Pu1 Pu 0.0000 0.0000 0.0000 1
Pb1 Pb 0.0000 0.5000 0.5000 1
Pb2 Pb 0.5000 0.0000 0.5000 1
Pb3 Pb 0.5000 0.5000 0.0000 1
O1 O 0.2449 0.2449 0.2449 1
O2 O 0.2449 0.2449 0.7551 1
O3 O 0.2449 0.7551 0.2449 1
O4 O 0.2449 0.7551 0.7551 1
O5 O 0.7551 0.2449 0.2449 1
O6 O 0.7551 0.2449 0.7551 1
O7 O 0.7551 0.7551 0.2449 1
O8 O 0.7551 0.7551 0.7551 1
```

Record 3
Structure and calculated X-ray diffraction stick pattern of RbGa3Bi3 (a crystal structure in Alexandria, relaxed with PBE; Cu Kα (weighted mean of Kα1 and Kα2)).
Intensities are scaled so that the largest is 1000.

Most intense lines, 2θ from 10° to 90°, in order of rising 2θ:
2θ 15.59, rel. 494
2θ 22.12, rel. 413
2θ 24.77, rel. 641
2θ 27.17, rel. 1000
2θ 38.81, rel. 555
2θ 42.06, rel. 625
2θ 45.12, rel. 411
2θ 65.71, rel. 270

Atomic structure:
```
data_RbGa3Bi3
_symmetry_space_group_name_H-M 'P 1'
_symmetry_Int_Tables_number 1
_cell_length_a 8.0381
_cell_length_b 8.0381
_cell_length_c 8.0381
_cell_angle_alpha 90.00
_cell_angle_beta 90.00
_cell_angle_gamma 90.00
loop_
_symmetry_equiv_pos_as_xyz
'x,y,z'
loop_
_atom_site_label
_atom_site_type_symbol
_atom_site_fract_x
_atom_site_fract_y
_atom_site_fract_z
_atom_site_occupancy
Rb1 Rb 0.0000 0.0000 0.0000 1
Rb2 Rb 0.5000 0.5000 0.5000 1
Ga1 Ga 0.0000 0.2500 0.5000 1
Ga2 Ga 0.0000 0.7500 0.5000 1
Ga3 Ga 0.2500 0.5000 0.0000 1
Ga4 Ga 0.5000 0.0000 0.2500 1
Ga5 Ga 0.5000 0.0000 0.7500 1
Ga6 Ga 0.7500 0.5000 0.0000 1
Bi1 Bi 0.0000 0.5000 0.2500 1
Bi2 Bi 0.0000 0.5000 0.7500 1
Bi3 Bi 0.2500 0.0000 0.5000 1
Bi4 Bi 0.5000 0.2500 0.0000 1
Bi5 Bi 0.5000 0.7500 0.0000 1
Bi6 Bi 0.7500 0.0000 0.5000 1
```

Record 4
Structure and calculated X-ray diffraction stick pattern of LiTb2AlPt6 (a crystal structure in Alexandria, relaxed with PBE; Cu Kα (weighted mean of Kα1 and Kα2)).
Intensities are scaled so that the largest is 1000.

Most intense lines, 2θ from 10° to 90°, in order of rising 2θ:
2θ 11.12, rel. 585
2θ 22.34, rel. 677
2θ 35.34, rel. 207
2θ 37.98, rel. 1000
2θ 39.43, rel. 228
2θ 40.25, rel. 733
2θ 48.46, rel. 204
2θ 67.06, rel. 228

Atomic structure:
```
data_LiTb2AlPt6
_symmetry_space_group_name_H-M 'P 1'
_symmetry_Int_Tables_number 1
_cell_length_a 5.5829
_cell_length_b 5.5829
_cell_length_c 8.5849
_cell_angle_alpha 108.94
_cell_angle_beta 108.94
_cell_angle_gamma 60.00
loop_
_symmetry_equiv_pos_as_xyz
'x,y,z'
loop_
_atom_site_label
_atom_site_type_symbol
_atom_site_fract_x
_atom_site_fract_y
_atom_site_fract_z
_atom_site_occupancy
Li1 Li 0.0000 0.0000 0.0000 1
Tb1 Tb 0.2010 0.2010 0.6033 1
Tb2 Tb 0.7990 0.7990 0.3967 1
Al1 Al 0.5000 0.5000 0.5000 1
Pt1 Pt 0.2376 0.7459 0.7297 1
Pt2 Pt 0.2543 0.2543 0.2702 1
Pt3 Pt 0.2541 0.7624 0.2703 1
Pt4 Pt 0.7459 0.2376 0.7297 1
Pt5 Pt 0.7457 0.7457 0.7298 1
Pt6 Pt 0.7624 0.2541 0.2703 1
```

Record 5
Structure and calculated X-ray diffraction stick pattern of MgCrCl2 (a crystal structure in Alexandria, relaxed with PBE; Cu Kα (weighted mean of Kα1 and Kα2)).
Intensities are scaled so that the largest is 1000.

Most intense lines, 2θ from 10° to 90°, in order of rising 2θ:
2θ 14.41, rel. 304
2θ 18.76, rel. 432
2θ 24.26, rel. 1000
2θ 29.05, rel. 187
2θ 34.39, rel. 516
2θ 35.95, rel. 510
2θ 39.37, rel. 175
2θ 48.35, rel. 215

Atomic structure:
```
data_MgCrCl2
_symmetry_space_group_name_H-M 'P 1'
_symmetry_Int_Tables_number 1
_cell_length_a 5.9201
_cell_length_b 5.9201
_cell_length_c 7.3846
_cell_angle_alpha 122.13
_cell_angle_beta 122.13
_cell_angle_gamma 32.64
loop_
_symmetry_equiv_pos_as_xyz
'x,y,z'
loop_
_atom_site_label
_atom_site_type_symbol
_atom_site_fract_x
_atom_site_fract_y
_atom_site_fract_z
_atom_site_occupancy
Mg1 Mg 0.0000 0.0000 0.0000 1
Cr1 Cr 0.2364 0.2364 0.7455 1
Cl1 Cl 0.5647 0.5647 0.6212 1
Cl2 Cl 0.6765 0.6765 0.2124 1
```

Record 6
Structure and calculated X-ray diffraction stick pattern of PaPPdN (a crystal structure in Alexandria, relaxed with PBE; Cu Kα (weighted mean of Kα1 and Kα2)).
Intensities are scaled so that the largest is 1000.

Most intense lines, 2θ from 10° to 90°, in order of rising 2θ:
2θ 25.12, rel. 689
2θ 31.68, rel. 1000
2θ 33.21, rel. 286
2θ 34.00, rel. 681
2θ 39.23, rel. 390
2θ 46.02, rel. 436
2θ 56.16, rel. 348
2θ 56.95, rel. 405

Atomic structure:
```
data_PaPPdN
_symmetry_space_group_name_H-M 'P 1'
_symmetry_Int_Tables_number 1
_cell_length_a 3.9443
_cell_length_b 3.9443
_cell_length_c 8.0931
_cell_angle_alpha 90.00
_cell_angle_beta 90.00
_cell_angle_gamma 90.00
loop_
_symmetry_equiv_pos_as_xyz
'x,y,z'
loop_
_atom_site_label
_atom_site_type_symbol
_atom_site_fract_x
_atom_site_fract_y
_atom_site_fract_z
_atom_site_occupancy
Pa1 Pa 0.2500 0.2500 0.1465 1
Pa2 Pa 0.7500 0.7500 0.8535 1
P1 P 0.2500 0.2500 0.6802 1
P2 P 0.7500 0.7500 0.3198 1
Pd1 Pd 0.2500 0.7500 0.5000 1
Pd2 Pd 0.7500 0.2500 0.5000 1
N1 N 0.2500 0.7500 0.0000 1
N2 N 0.7500 0.2500 0.0000 1
```

Record 7
Structure and calculated X-ray diffraction stick pattern of BaPr2NdIn4 (a crystal structure in Alexandria, relaxed with PBE; Cu Kα (weighted mean of Kα1 and Kα2)).
Intensities are scaled so that the largest is 1000.

Most intense lines, 2θ from 10° to 90°, in order of rising 2θ:
2θ 31.79, rel. 1000
2θ 45.58, rel. 180
2θ 56.55, rel. 88
2θ 56.67, rel. 282
2θ 66.37, rel. 54
2θ 66.50, rel. 59
2θ 75.54, rel. 153
2θ 84.34, rel. 30

Atomic structure:
```
data_BaPr2NdIn4
_symmetry_space_group_name_H-M 'P 1'
_symmetry_Int_Tables_number 1
_cell_length_a 9.7645
_cell_length_b 9.7645
_cell_length_c 9.7645
_cell_angle_alpha 33.48
_cell_angle_beta 33.48
_cell_angle_gamma 33.48
loop_
_symmetry_equiv_pos_as_xyz
'x,y,z'
loop_
_atom_site_label
_atom_site_type_symbol
_atom_site_fract_x
_atom_site_fract_y
_atom_site_fract_z
_atom_site_occupancy
Ba1 Ba 0.0000 0.0000 0.0000 1
Pr1 Pr 0.2515 0.2515 0.2515 1
Pr2 Pr 0.7485 0.7485 0.7485 1
Nd1 Nd 0.5000 0.5000 0.5000 1
In1 In 0.1286 0.1286 0.1286 1
In2 In 0.3800 0.3800 0.3800 1
In3 In 0.6200 0.6200 0.6200 1
In4 In 0.8714 0.8714 0.8714 1
```

Record 8
Structure and calculated X-ray diffraction stick pattern of La4PrHo7 (a crystal structure in Alexandria, relaxed with PBE; Cu Kα (weighted mean of Kα1 and Kα2)).
Intensities are scaled so that the largest is 1000.

Most intense lines, 2θ from 10° to 90°, in order of rising 2θ:
2θ 29.04, rel. 173
2θ 29.93, rel. 872
2θ 30.30, rel. 684
2θ 31.98, rel. 1000
2θ 32.96, rel. 526
2θ 33.08, rel. 605
2θ 43.11, rel. 544
2θ 62.16, rel. 253

Atomic structure:
```
data_La4PrHo7
_symmetry_space_group_name_H-M 'P 1'
_symmetry_Int_Tables_number 1
_cell_length_a 6.7942
_cell_length_b 6.7942
_cell_length_c 12.9760
_cell_angle_alpha 114.76
_cell_angle_beta 114.76
_cell_angle_gamma 52.14
loop_
_symmetry_equiv_pos_as_xyz
'x,y,z'
loop_
_atom_site_label
_atom_site_type_symbol
_atom_site_fract_x
_atom_site_fract_y
_atom_site_fract_z
_atom_site_occupancy
La1 La 0.1336 0.1336 0.2771 1
La2 La 0.2809 0.2809 0.8367 1
La3 La 0.7191 0.7191 0.1633 1
La4 La 0.8664 0.8664 0.7229 1
Pr1 Pr 0.5000 0.5000 0.5000 1
Ho1 Ho 0.0000 0.0000 0.5000 1
Ho2 Ho 0.1332 0.1332 0.9945 1
Ho3 Ho 0.2892 0.2892 0.5763 1
Ho4 Ho 0.4290 0.4290 0.1874 1
Ho5 Ho 0.5710 0.5710 0.8126 1
Ho6 Ho 0.7108 0.7108 0.4237 1
Ho7 Ho 0.8668 0.8668 0.0055 1
```